Structure and simulated X-ray diffraction stick pattern of TeRh2O6 (a crystal structure in the Materials Project, relaxed with GGA-PBE; Cu Kα (λ = 1.5418 Å)).

```
TeRh2O6
1.0
4.681 0.000 0.000
0.000 4.681 0.000
0.000 0.000 9.553
Te Rh O
2 4 12
Direct
0.000 0.000 0.000
0.500 0.500 0.500
0.000 0.000 0.332
0.000 0.000 0.668
0.500 0.500 0.168
0.500 0.500 0.832
0.190 0.190 0.500
0.195 0.195 0.167
0.195 0.195 0.833
0.305 0.695 0.333
0.305 0.695 0.667
0.310 0.690 0.000
0.690 0.310 0.000
0.695 0.305 0.333
0.695 0.305 0.667
0.805 0.805 0.167
0.805 0.805 0.833
0.810 0.810 0.500
```

Main lines, by angle (2θ = 10–90°):
d/Å  I (rel.)
3.310  100
2.633  80
2.341  22
1.749  66
1.655  16
1.480  14
1.435  16
1.401  20
1.202  12
1.147  9